Computed powder diffraction line list
Compound: NaAc4Ge2
Radiation: Cu Kα (λ = 1.5418 Å)
Structure: DFT lattice parameters and positions (PBE)
Peak positions follow from Bragg's law for the DFT cell and can differ from measured ones.

Main lines, low angle first (15° ≤ 2θ ≤ 90°):
2θ 22.5, 3.955 Å, intensity 100, (2 0 0); 2θ 23.0, 3.860 Å, intensity 28, (1 1 -2); 2θ 25.9, 3.441 Å, intensity 70, (1 -1 2); 2θ 26.7, 3.341 Å, intensity 32, (0 1 2); 2θ 27.1, 3.285 Å, intensity 33, (2 0 -2); 2θ 28.6, 3.120 Å, intensity 54, (2 -2 0); 2θ 29.1, 3.066 Å, intensity 35, (2 1 -2); 2θ 31.9, 2.809 Å, intensity 44, (1 1 2); 2θ 37.1, 2.425 Å, intensity 28, (1 -3 2); 2θ 43.3, 2.087 Å, intensity 29, (-1 3 2)

Cell and atoms:
abc: 8.240 8.247 8.701
angles: 101.91 101.85 98.39
Positions (direct):
Na (0.000, 0.000, 0.000)
Na (0.043, 0.957, 0.500)
Ac (0.244, 0.685, 0.764)
Ac (0.275, 0.315, 0.396)
Ac (0.316, 0.757, 0.235)
Ac (0.331, 0.238, 0.924)
Ac (0.684, 0.725, 0.603)
Ac (0.762, 0.669, 0.075)
Ac (0.765, 0.222, 0.251)
Ac (0.778, 0.233, 0.749)
Ge (0.041, 0.414, 0.079)
Ge (0.511, 0.454, 0.743)
Ge (0.545, 0.489, 0.256)
Ge (0.586, 0.958, 0.921)